Structure and computed powder X-ray diffraction pattern of Cu2W4CN (a PBE-relaxed structure; Cu Kα (weighted mean of Kα1 and Kα2)).
Kinematic intensities with the Lorentz-polarization factor, no thermal factor.

Peak list (6 most intense, 2θ from 10° to 90°, in order of falling intensity)
(1 0 3), 40.99 deg, d 2.202, I 100.0
(0 0 6), 37.65 deg, d 2.389, I 22.5
(1 0 0), 36.21 deg, d 2.481, I 22.1
(1 1 0), 65.12 deg, d 1.432, I 21.3
(1 1 6), 77.74 deg, d 1.228, I 16.5
(0 0 4), 24.84 deg, d 3.584, I 16.3

Atomic structure:
```
Cu2W4CN
1.0
2.865 0.000 0.000
-1.432 2.481 0.000
0.000 0.000 14.335
Cu W C N
2 4 1 1
direct
0.333 0.667 0.252
0.667 0.333 0.748
0.333 0.667 0.593
0.333 0.667 0.901
0.667 0.333 0.099
0.667 0.333 0.407
0.000 0.000 0.500
0.000 0.000 0.000
```